(1)
The following is a computed powder diffraction line list of La3Mg2MnS8. It was derived from a cell relaxed with PBE, using a wavelength of 1.5418 Å.
Intensities are scaled so that the largest is 100.

Largest 8 diffraction maxima, low angle first, 15 to 90 degrees two-theta:
two_theta	intensity	index
25.75	58	0 2 1
25.92	47	2 0 1
31.52	100	2 2 -2
31.78	48	4 0 0
44.61	24	0 4 0
44.76	47	2 2 2
45.97	42	6 2 -2
55.78	26	0 0 4

Crystal structure
Cell: 13.554 8.124 7.941 Å, 90.00 123.80 90.00°
Space group C2/m (No. 12)
Symmetry-distinct sites (fractional):
La 0.000 0.000 0.000 x2
La 0.250 0.250 0.500 x4
Mg 0.125 0.500 0.874 x4
Mn 0.000 0.000 0.500 x2
S 0.003 0.233 0.731 x8
S 0.227 0.000 0.734 x4
S 0.249 0.000 0.253 x4

=====

(2)
The following is a computed powder diffraction line list of LaMg14Mo. It was derived from a cell relaxed with PBE, using a wavelength of 1.5418 Å.
Intensities are scaled so that the largest is 100.

Largest 8 diffraction maxima, low angle first, 15 to 90 degrees two-theta:
two_theta	intensity	index
15.41	31	0 0 2
16.98	24	2 0 0
17.60	43	1 0 2
33.34	35	0 2 2
34.35	43	4 0 0
35.64	67	2 0 4
37.64	100	2 2 2
48.62	23	4 2 2

Crystal structure
Cell: 10.444 6.080 11.503 Å, 90.00 90.00 90.00°
Space group Amm2 (No. 38)
Symmetry-distinct sites (fractional):
La 0.000 0.000 0.000 x2
Mg 0.000 0.245 0.250 x4
Mg 0.233 0.000 0.649 x4
Mg 0.251 0.242 0.407 x8
Mg 0.263 0.000 0.160 x4
Mg 0.500 0.000 0.496 x2
Mg 0.500 0.000 0.993 x2
Mg 0.500 0.247 0.746 x4
Mo 0.000 0.000 0.492 x2

=====

(3)
The following is a computed powder diffraction line list of LaMg6Mo. It was derived from a cell relaxed with PBE, using a wavelength of 1.5418 Å.
Intensities are scaled so that the largest is 100.

Largest 8 diffraction maxima, low angle first, 15 to 90 degrees two-theta:
two_theta	intensity	index
17.17	52	1 0 0
22.86	51	1 0 2
30.23	21	0 0 4
33.42	42	0 2 2
34.73	42	2 0 0
34.97	69	1 0 4
37.81	100	1 2 2
48.97	28	2 2 2

Crystal structure
Cell: 5.166 6.016 11.826 Å, 90.00 90.00 90.00°
Space group Amm2 (No. 38)
Symmetry-distinct sites (fractional):
La 0.000 0.000 0.000 x2
Mg 0.000 0.250 0.248 x4
Mg 0.500 0.000 0.167 x2
Mg 0.500 0.000 0.635 x2
Mg 0.500 0.234 0.409 x4
Mo 0.000 0.000 0.491 x2